(1)
Calculated X-ray diffraction stick pattern
Compound: HfAlIr2
Radiation: Cu Kα (λ = 1.5418 Å)
Structure: a DFT-relaxed cell (PBE, the Materials Project)
No peak broadening, texture or thermal motion is included.

Atomic structure:
abc: 6.344 6.344 6.344
angles: 90.00 90.00 90.00
Space group Fm-3m (No. 225)
Inequivalent atoms, fractional coordinates:
Hf (0.000, 0.000, 0.000) x4
Al (0.000, 0.000, 0.500) x4
Ir (0.250, 0.250, 0.250) x8

Main lines, by angle (10° ≤ 2θ ≤ 80°):
2θ (°), I/Imax, (hkl)
24.30, 160, 1 1 1
28.13, 115, 2 0 0
40.21, 1000, 2 2 0
47.54, 82, 3 1 1
58.17, 172, 4 0 0
63.97, 34, 3 3 1
65.84, 44, 4 2 0
73.07, 351, 4 2 2

---

(2)
Calculated X-ray diffraction stick pattern
Compound: HfMg6Al
Radiation: Cu Kα (λ = 1.5418 Å)
Structure: a DFT-relaxed cell (PBE, the Materials Project)
No peak broadening, texture or thermal motion is included.

Atomic structure:
abc: 4.927 6.368 10.993
angles: 90.00 90.00 90.00
Space group Amm2 (No. 38)
Inequivalent atoms, fractional coordinates:
Hf (0.000, 0.000, 0.000) x2
Mg (0.000, 0.000, 0.492) x2
Mg (0.000, 0.247, 0.244) x4
Mg (0.500, 0.000, 0.658) x2
Mg (0.500, 0.249, 0.909) x4
Al (0.500, 0.000, 0.148) x2

Main lines, by angle (10° ≤ 2θ ≤ 80°):
2θ (°), I/Imax, (hkl)
16.10, 911, 0 0 2
24.24, 653, 1 1 1
28.07, 239, 0 2 0
32.52, 355, 0 2 2
33.55, 299, 1 1 3
36.47, 227, 2 0 0
37.42, 1000, 1 0 4
49.66, 250, 2 2 2

---

(3)
Calculated X-ray diffraction stick pattern
Compound: HfMg6Al
Radiation: Cu Kα (λ = 1.5418 Å)
Structure: a DFT-relaxed cell (PBE, the Materials Project)
No peak broadening, texture or thermal motion is included.

Atomic structure:
abc: 5.026 6.088 11.178
angles: 90.00 90.00 90.00
Space group Amm2 (No. 38)
Inequivalent atoms, fractional coordinates:
Hf (0.000, 0.000, 0.000) x2
Mg (0.000, 0.249, 0.248) x4
Mg (0.500, 0.000, 0.159) x2
Mg (0.500, 0.000, 0.657) x2
Mg (0.500, 0.248, 0.912) x4
Al (0.000, 0.000, 0.495) x2

Main lines, by angle (10° ≤ 2θ ≤ 80°):
2θ (°), I/Imax, (hkl)
15.86, 516, 0 0 2
16.58, 863, 0 1 1
17.65, 394, 1 0 0
24.31, 710, 1 1 1
33.52, 381, 0 2 2
35.73, 390, 2 0 0
36.80, 607, 1 0 4
38.13, 1000, 1 2 2

---

(4)
Calculated X-ray diffraction stick pattern
Compound: Hf3AlMo8
Radiation: Cu Kα (λ = 1.5418 Å)
Structure: a DFT-relaxed cell (PBE, the Materials Project)
No peak broadening, texture or thermal motion is included.

Atomic structure:
abc: 5.3317 5.3317 26.1028
angles: 90.00 90.00 120.00
Space group R3m (No. 160, hexagonal axes)
Inequivalent atoms, fractional coordinates:
Hf (0.0000, 0.0000, 0.0000) x3
Hf (0.0000, 0.0000, 0.1259) x3
Hf (0.0000, 0.0000, 0.5015) x3
Al (0.0000, 0.0000, 0.6259) x3
Mo (0.0000, 0.0000, 0.3137) x3
Mo (0.0000, 0.0000, 0.8125) x3
Mo (0.0009, 0.5005, 0.5641) x9
Mo (0.1673, 0.3345, 0.3955) x9

Main lines, by angle (10° ≤ 2θ ≤ 80°):
2θ (°), I/Imax, (hkl)
10.17, 59, 0 0 3
19.52, 50, 1 0 1
33.63, 386, 1 1 0
39.65, 1000, 2 0 2
41.50, 295, 0 2 4
60.13, 147, 3 0 0
64.20, 317, 3 0 6
70.69, 254, 2 2 0

---

(5)
Calculated X-ray diffraction stick pattern
Compound: HfAlMo
Radiation: Cu Kα (λ = 1.5418 Å)
Structure: a DFT-relaxed cell (PBE, the Materials Project)
No peak broadening, texture or thermal motion is included.

Atomic structure:
abc: 8.756 5.280 9.225
angles: 90.00 90.00 90.00
Space group Amm2 (No. 38)
Inequivalent atoms, fractional coordinates:
Hf (0.185, 0.000, 0.000) x4
Hf (0.313, 0.000, 0.336) x4
Al (0.251, 0.000, 0.674) x4
Al (0.500, 0.244, 0.086) x4
Mo (0.000, 0.000, 0.501) x2
Mo (0.000, 0.243, 0.258) x4
Mo (0.500, 0.000, 0.840) x2

Main lines, by angle (10° ≤ 2θ ≤ 80°):
2θ (°), I/Imax, (hkl)
28.17, 262, 2 1 1
33.73, 257, 0 1 3
33.96, 198, 0 2 0
36.48, 1000, 3 1 1
39.68, 563, 2 1 3
40.45, 195, 1 0 4
40.70, 381, 1 2 2
67.30, 214, 5 2 2

---

(6)
Calculated X-ray diffraction stick pattern
Compound: Hf5Al3N
Radiation: Cu Kα (λ = 1.5418 Å)
Structure: a DFT-relaxed cell (PBE, the Materials Project)
No peak broadening, texture or thermal motion is included.

Atomic structure:
abc: 8.0897 8.0897 5.6664
angles: 90.00 90.00 120.00
Space group P6_3/mcm (No. 193)
Inequivalent atoms, fractional coordinates:
Hf (0.0000, 0.2241, 0.2500) x6
Hf (0.3333, 0.6667, 0.0000) x4
Al (0.0000, 0.4034, 0.7500) x6
N (0.0000, 0.0000, 0.0000) x2

Main lines, by angle (10° ≤ 2θ ≤ 80°):
2θ (°), I/Imax, (hkl)
25.43, 283, 2 0 0
27.09, 358, 1 1 1
33.85, 561, 2 1 0
34.14, 517, 1 0 2
37.49, 1000, 2 1 1
38.81, 666, 1 1 2
55.85, 280, 2 2 2
60.56, 292, 4 1 0

---

(7)
Calculated X-ray diffraction stick pattern
Compound: Hf3AlN
Radiation: Cu Kα (λ = 1.5418 Å)
Structure: a DFT-relaxed cell (PBE, the Materials Project)
No peak broadening, texture or thermal motion is included.

Atomic structure:
abc: 3.320 11.404 8.898
angles: 90.00 90.00 90.00
Space group Cmcm (No. 63)
Inequivalent atoms, fractional coordinates:
Hf (0.000, 0.043, 0.250) x4
Hf (0.000, 0.372, 0.043) x8
Al (0.000, 0.253, 0.750) x4
N (0.000, 0.000, 0.000) x4

Main lines, by angle (10° ≤ 2θ ≤ 80°):
2θ (°), I/Imax, (hkl)
15.54, 204, 0 2 0
34.07, 465, 0 2 3
34.61, 1000, 1 1 2
35.91, 535, 1 3 0
37.35, 288, 1 3 1
37.47, 478, 0 4 2
55.31, 291, 2 0 0
58.09, 198, 1 5 3